Entry 1:
La7TbTm3: computed powder diffractogram (copper Kα), based on a structure optimized by DFT (PBE).
No peak broadening, texture or thermal motion is included.

```
data_La7TbTm3
_cell_length_a 7.0694
_cell_length_b 11.3992
_cell_length_c 10.3081
_cell_angle_alpha 90.00
_cell_angle_beta 109.65
_cell_angle_gamma 90.00
_symmetry_space_group_name_H-M 'P 1 21/m 1'
_symmetry_Int_Tables_number 11
_symmetry_space_group_name_Hall '-P 2yb'
loop_
_atom_site_label
_atom_site_fract_x
_atom_site_fract_y
_atom_site_fract_z
La1 0.0826 0.0194 0.1683
La2 0.1477 0.7500 0.3180
La3 0.2024 0.2500 0.4042
La4 0.3353 0.7500 0.6793
La5 0.4076 0.0491 0.8181
Tb1 0.5000 0.0000 0.5000
Tm1 0.0000 0.0000 0.5000
Tm2 0.2341 0.7500 0.9836
Tm3 0.2585 0.2500 0.0234
```

Peak list (8 most intense, 2θ from 10° to 90°, sorted by position)
d 2.973, 2θ = 30.06°, intensity 22, hkl 1 3 1; d 2.872, 2θ = 31.14°, intensity 96, hkl 2 0 1; d 2.865, 2θ = 31.22°, intensity 66, hkl 2 2 -2; d 2.849, 2θ = 31.40°, intensity 82, hkl 0 4 0; d 2.814, 2θ = 31.80°, intensity 100, hkl 0 2 3; d 2.021, 2θ = 44.84°, intensity 18, hkl 2 4 1; d 1.635, 2θ = 56.28°, intensity 19, hkl 2 2 4; d 1.501, 2θ = 61.79°, intensity 29, hkl 4 4 -2

---

Entry 2:
La9TbTm4: computed powder diffractogram (copper Kα), based on a structure optimized by DFT (PBE).
No peak broadening, texture or thermal motion is included.

```
data_La9TbTm4
_cell_length_a 10.0384
_cell_length_b 10.0384
_cell_length_c 11.4507
_cell_angle_alpha 90.00
_cell_angle_beta 90.00
_cell_angle_gamma 120.00
_symmetry_space_group_name_H-M 'P 63/m m c'
_symmetry_Int_Tables_number 194
_symmetry_space_group_name_Hall '-P 6c 2c'
loop_
_atom_site_label
_atom_site_fract_x
_atom_site_fract_y
_atom_site_fract_z
La1 0.0773 0.5386 0.2500
La2 0.2069 0.4137 0.5291
Tb1 0.3333 0.6667 0.7500
Tm1 0.0000 0.0000 0.0000
Tm2 0.1087 0.2174 0.2500
```

Peak list (8 most intense, 2θ from 10° to 90°, sorted by position)
d 2.865, 2θ = 31.22°, intensity 54, hkl 0 0 4; d 2.850, 2θ = 31.39°, intensity 100, hkl 2 1 2; d 2.809, 2θ = 31.85°, intensity 39, hkl 3 0 1; d 1.797, 2θ = 50.82°, intensity 22, hkl 3 0 5; d 1.673, 2θ = 54.88°, intensity 17, hkl 3 3 0; d 1.664, 2θ = 55.21°, intensity 20, hkl 5 0 2; d 1.650, 2θ = 55.70°, intensity 12, hkl 2 1 6; d 1.445, 2θ = 64.50°, intensity 23, hkl 3 3 4

---

Entry 3:
La7Tb16Tm6: computed powder diffractogram (copper Kα), based on a structure optimized by DFT (PBE).
No peak broadening, texture or thermal motion is included.

```
data_La7Tb16Tm6
_cell_length_a 15.9793
_cell_length_b 15.9793
_cell_length_c 15.9793
_cell_angle_alpha 90.00
_cell_angle_beta 90.00
_cell_angle_gamma 90.00
_symmetry_space_group_name_H-M 'F m -3 m'
_symmetry_Int_Tables_number 225
_symmetry_space_group_name_Hall '-F 4 2 3'
loop_
_atom_site_label
_atom_site_fract_x
_atom_site_fract_y
_atom_site_fract_z
La1 0.0000 0.0000 0.0000
La2 0.0000 0.2500 0.2500
Tb1 0.1298 0.1298 0.1298
Tb2 0.1500 0.1500 0.3500
Tm1 0.0000 0.0000 0.2524
```

Peak list (8 most intense, 2θ from 10° to 90°, sorted by position)
d 3.573, 2θ = 24.92°, intensity 8, hkl 4 2 0; d 3.262, 2θ = 27.34°, intensity 6, hkl 4 2 2; d 2.825, 2θ = 31.68°, intensity 100, hkl 4 4 0; d 2.527, 2θ = 35.53°, intensity 6, hkl 6 2 0; d 1.997, 2θ = 45.41°, intensity 15, hkl 8 0 0; d 1.631, 2θ = 56.42°, intensity 28, hkl 8 4 4; d 1.412, 2θ = 66.16°, intensity 8, hkl 8 8 0; d 1.263, 2θ = 75.22°, intensity 8, hkl 12 4 0

---

Entry 4:
La6Tb12Tm: computed powder diffractogram (copper Kα), based on a structure optimized by DFT (PBE).
No peak broadening, texture or thermal motion is included.

```
data_La6Tb12Tm
_cell_length_a 12.2874
_cell_length_b 12.2874
_cell_length_c 14.9160
_cell_angle_alpha 90.00
_cell_angle_beta 90.00
_cell_angle_gamma 120.00
_symmetry_space_group_name_H-M 'R -3'
_symmetry_Int_Tables_number 148
_symmetry_space_group_name_Hall '-R 3'
loop_
_atom_site_label
_atom_site_fract_x
_atom_site_fract_y
_atom_site_fract_z
La1 0.0338 0.5610 0.2329
Tb1 0.0731 0.8855 0.2943
Tb2 0.0778 0.1973 0.9020
Tm1 0.0000 0.0000 0.5000
```

Peak list (8 most intense, 2θ from 10° to 90°, sorted by position)
d 3.546, 2θ = 25.11°, intensity 20, hkl 3 0 0; d 3.054, 2θ = 29.25°, intensity 16, hkl 0 2 4; d 2.890, 2θ = 30.95°, intensity 100, hkl 0 3 3; d 2.872, 2θ = 31.14°, intensity 34, hkl 0 1 5; d 2.744, 2θ = 32.63°, intensity 61, hkl 3 1 2; d 2.616, 2θ = 34.27°, intensity 12, hkl 4 0 1; d 2.506, 2θ = 35.84°, intensity 11, hkl 0 4 2; d 1.509, 2θ = 61.44°, intensity 16, hkl 3 4 5

---

Entry 5:
La2Tb5Tm: computed powder diffractogram (copper Kα), based on a structure optimized by DFT (PBE).
No peak broadening, texture or thermal motion is included.

```
data_La2Tb5Tm
_cell_length_a 5.1028
_cell_length_b 5.1028
_cell_length_c 20.2751
_cell_angle_alpha 90.00
_cell_angle_beta 90.00
_cell_angle_gamma 90.00
_symmetry_space_group_name_H-M 'I 4/m m m'
_symmetry_Int_Tables_number 139
_symmetry_space_group_name_Hall '-I 4 2'
loop_
_atom_site_label
_atom_site_fract_x
_atom_site_fract_y
_atom_site_fract_z
La1 0.0000 0.0000 0.2501
Tb1 0.0000 0.0000 0.0000
Tb2 0.0000 0.5000 0.1213
Tm1 0.0000 0.0000 0.5000
```

Peak list (8 most intense, 2θ from 10° to 90°, sorted by position)
d 2.940, 2θ = 30.41°, intensity 100, hkl 1 1 4; d 2.551, 2θ = 35.17°, intensity 34, hkl 2 0 0; d 2.534, 2θ = 35.42°, intensity 16, hkl 0 0 8; d 1.804, 2θ = 50.59°, intensity 12, hkl 2 2 0; d 1.798, 2θ = 50.78°, intensity 24, hkl 2 0 8; d 1.538, 2θ = 60.18°, intensity 29, hkl 3 1 4; d 1.530, 2θ = 60.51°, intensity 14, hkl 1 1 12; d 1.470, 2θ = 63.27°, intensity 12, hkl 2 2 8

---

Entry 6:
La7Tb6Tm16: computed powder diffractogram (copper Kα), based on a structure optimized by DFT (PBE).
No peak broadening, texture or thermal motion is included.

```
data_La7Tb6Tm16
_cell_length_a 15.6356
_cell_length_b 15.6356
_cell_length_c 15.6356
_cell_angle_alpha 90.00
_cell_angle_beta 90.00
_cell_angle_gamma 90.00
_symmetry_space_group_name_H-M 'F m -3 m'
_symmetry_Int_Tables_number 225
_symmetry_space_group_name_Hall '-F 4 2 3'
loop_
_atom_site_label
_atom_site_fract_x
_atom_site_fract_y
_atom_site_fract_z
La1 0.0000 0.0000 0.0000
La2 0.0000 0.2500 0.2500
Tb1 0.0000 0.0000 0.2270
Tm1 0.1117 0.1117 0.3883
Tm2 0.1488 0.1488 0.1488
```

Peak list (8 most intense, 2θ from 10° to 90°, sorted by position)
d 3.192, 2θ = 27.96°, intensity 7, hkl 4 2 2; d 3.009, 2θ = 29.69°, intensity 30, hkl 3 3 3; d 2.764, 2θ = 32.39°, intensity 100, hkl 4 4 0; d 2.036, 2θ = 44.51°, intensity 13, hkl 5 5 3; d 1.954, 2θ = 46.46°, intensity 13, hkl 8 0 0; d 1.639, 2θ = 56.11°, intensity 9, hkl 9 3 1; d 1.596, 2θ = 57.78°, intensity 21, hkl 8 4 4; d 1.512, 2θ = 61.33°, intensity 18, hkl 7 7 3